For Ho6AlIn5, the PBE geometry in Alexandria gives the calculated powder X-ray diffraction pattern in this record (Cu Kα).

Structural model:
```
Ho6AlIn5
1.0
2.633 -7.896 0.000
2.633 7.896 0.000
0.000 0.000 7.428
Ho Al In
6 1 5
Direct
0.000 0.000 0.244
0.000 0.000 0.756
0.336 0.664 0.247
0.336 0.664 0.753
0.664 0.336 0.247
0.664 0.336 0.753
0.500 0.500 0.000
0.168 0.832 0.000
0.168 0.832 0.500
0.500 0.500 0.500
0.832 0.168 0.000
0.832 0.168 0.500
```

Main lines, by angle (2θ = 10–80°):
| 2theta | I (rel.) |
| --- | --- |
| 23.92 | 6 |
| 34.09 | 100 |
| 42.07 | 2 |
| 48.93 | 12 |
| 49.06 | 6 |
| 55.18 | 2 |
| 61.01 | 37 |
| 71.71 | 4 |
| 71.80 | 7 |
| 76.87 | 1 |

***

For Ho2AlIn2, the PBE geometry in Alexandria gives the calculated powder X-ray diffraction pattern in this record (Cu Kα).

Structural model:
```
Ho2AlIn2
1.0
5.610 -2.288 0.000
5.610 2.288 0.000
-4.700 0.000 9.765
Ho Al In
4 2 4
Direct
0.001 0.001 0.176
0.179 0.179 0.603
0.821 0.821 0.397
0.999 0.999 0.824
0.288 0.288 0.178
0.712 0.712 0.822
0.351 0.351 0.940
0.460 0.460 0.612
0.540 0.540 0.388
0.649 0.649 0.060
```

Main lines, by angle (2θ = 10–80°):
| 2theta | I (rel.) |
| --- | --- |
| 24.67 | 19 |
| 30.58 | 35 |
| 30.97 | 46 |
| 31.70 | 100 |
| 32.04 | 44 |
| 34.88 | 30 |
| 37.36 | 53 |
| 39.38 | 42 |
| 51.64 | 23 |
| 61.28 | 17 |

***

For Ho6AlIn3, the PBE geometry in Alexandria gives the calculated powder X-ray diffraction pattern in this record (Cu Kα).

Structural model:
```
Ho6AlIn3
1.0
9.185 0.000 0.000
0.000 5.266 0.000
-3.523 0.000 11.025
Ho Al In
12 2 6
Direct
0.035 0.250 0.412
0.165 0.750 0.170
0.265 0.250 0.002
0.350 0.750 0.818
0.364 0.250 0.329
0.401 0.250 0.624
0.599 0.750 0.376
0.636 0.750 0.671
0.650 0.250 0.182
0.735 0.750 0.998
0.835 0.250 0.830
0.965 0.750 0.588
0.456 0.750 0.103
0.544 0.250 0.897
0.026 0.750 0.882
0.120 0.250 0.718
0.275 0.750 0.469
0.725 0.250 0.531
0.880 0.750 0.282
0.974 0.250 0.118
```

Main lines, by angle (2θ = 10–80°):
| 2theta | I (rel.) |
| --- | --- |
| 31.57 | 18 |
| 32.71 | 35 |
| 33.79 | 100 |
| 33.89 | 86 |
| 34.05 | 56 |
| 37.01 | 15 |
| 47.94 | 25 |
| 49.27 | 15 |
| 60.81 | 36 |
| 61.25 | 15 |

***

For Ho7Al4In, the PBE geometry in Alexandria gives the calculated powder X-ray diffraction pattern in this record (Cu Kα).

Structural model:
```
Ho7Al4In
1.0
6.918 -2.832 0.000
6.918 2.832 0.000
-4.397 0.000 8.023
Ho Al In
7 4 1
Direct
0.000 0.000 0.000
0.242 0.242 0.708
0.310 0.310 0.131
0.420 0.420 0.582
0.580 0.580 0.418
0.690 0.690 0.869
0.758 0.758 0.292
0.020 0.020 0.665
0.178 0.178 0.340
0.822 0.822 0.660
0.980 0.980 0.335
0.500 0.500 0.000
```

Main lines, by angle (2θ = 10–80°):
| 2theta | I (rel.) |
| --- | --- |
| 25.25 | 33 |
| 25.93 | 43 |
| 30.96 | 56 |
| 31.59 | 100 |
| 32.13 | 65 |
| 32.28 | 47 |
| 33.93 | 66 |
| 36.74 | 70 |
| 45.68 | 49 |
| 45.79 | 36 |

***

For Ho2Al5Ir, the PBE geometry in Alexandria gives the calculated powder X-ray diffraction pattern in this record (Cu Kα).

Structural model:
```
Ho2Al5Ir
1.0
6.226 0.000 0.000
0.000 6.226 0.000
0.000 0.000 8.166
Ho Al Ir
4 10 2
Direct
0.000 0.500 0.000
0.000 0.500 0.500
0.500 0.000 0.000
0.500 0.000 0.500
0.000 0.000 0.483
0.219 0.219 0.744
0.219 0.781 0.744
0.281 0.281 0.244
0.281 0.719 0.244
0.500 0.500 0.983
0.719 0.281 0.244
0.719 0.719 0.244
0.781 0.219 0.744
0.781 0.781 0.744
0.000 0.000 0.183
0.500 0.500 0.683
```

Main lines, by angle (2θ = 10–80°):
| 2theta | I (rel.) |
| --- | --- |
| 17.92 | 43 |
| 28.68 | 53 |
| 29.85 | 100 |
| 34.02 | 29 |
| 36.29 | 36 |
| 41.01 | 42 |
| 46.67 | 14 |
| 49.20 | 18 |
| 51.54 | 41 |
| 65.92 | 16 |

***

For La14HoAl, the PBE geometry in Alexandria gives the calculated powder X-ray diffraction pattern in this record (Cu Kα).

Structural model:
```
La14HoAl
1.0
7.299 0.000 0.000
0.000 7.299 0.000
0.000 0.000 10.352
La Ho Al
14 1 1
Direct
0.000 0.000 0.000
0.000 0.500 0.000
0.000 0.500 0.500
0.241 0.241 0.259
0.241 0.241 0.741
0.241 0.759 0.259
0.241 0.759 0.741
0.500 0.000 0.000
0.500 0.000 0.500
0.500 0.500 0.000
0.759 0.241 0.259
0.759 0.241 0.741
0.759 0.759 0.259
0.759 0.759 0.741
0.500 0.500 0.500
0.000 0.000 0.500
```

Main lines, by angle (2θ = 10–80°):
| 2theta | I (rel.) |
| --- | --- |
| 14.85 | 2 |
| 21.04 | 2 |
| 29.96 | 100 |
| 34.66 | 17 |
| 34.77 | 34 |
| 49.93 | 35 |
| 59.24 | 14 |
| 59.38 | 28 |
| 62.26 | 12 |
| 73.38 | 4 |

***

For LaHo2Al6, the PBE geometry in Alexandria gives the calculated powder X-ray diffraction pattern in this record (Cu Kα).

Structural model:
```
LaHo2Al6
1.0
7.979 0.000 0.000
-3.990 6.910 0.000
0.000 0.000 3.562
La Ho Al
1 2 6
Direct
0.000 0.000 0.000
0.333 0.667 0.000
0.667 0.333 0.000
0.000 0.337 0.500
0.000 0.663 0.500
0.337 0.000 0.500
0.337 0.337 0.500
0.663 0.000 0.500
0.663 0.663 0.500
```

Main lines, by angle (2θ = 10–80°):
| 2theta | I (rel.) |
| --- | --- |
| 22.28 | 69 |
| 33.73 | 100 |
| 39.11 | 44 |
| 45.47 | 11 |
| 46.98 | 12 |
| 52.58 | 28 |
| 56.59 | 11 |
| 66.34 | 18 |
| 67.44 | 27 |
| 70.89 | 13 |

***

For LaHo4Al, the PBE geometry in Alexandria gives the calculated powder X-ray diffraction pattern in this record (Cu Kα).

Structural model:
```
LaHo4Al
1.0
3.576 0.000 0.000
0.000 3.576 0.000
0.000 0.000 13.903
La Ho Al
1 4 1
Direct
0.000 0.000 0.000
0.000 0.000 0.367
0.000 0.000 0.633
0.500 0.500 0.186
0.500 0.500 0.814
0.500 0.500 0.500
```

Main lines, by angle (2θ = 10–80°):
| 2theta | I (rel.) |
| --- | --- |
| 25.71 | 13 |
| 28.06 | 24 |
| 31.60 | 100 |
| 32.19 | 15 |
| 35.50 | 46 |
| 48.67 | 19 |
| 51.08 | 16 |
| 53.65 | 10 |
| 59.11 | 20 |
| 61.32 | 30 |

***

For LaHo6Al2, the PBE geometry in Alexandria gives the calculated powder X-ray diffraction pattern in this record (Cu Kα).

Structural model:
```
LaHo6Al2
1.0
-2.392 2.392 13.789
2.392 -2.392 13.789
2.392 2.392 -13.789
La Ho Al
1 6 2
Direct
0.000 0.000 0.000
0.143 0.647 0.000
0.250 0.750 0.500
0.353 0.353 0.496
0.647 0.143 0.000
0.750 0.250 0.500
0.857 0.857 0.504
0.313 0.313 0.000
0.687 0.687 0.000
```

Main lines, by angle (2θ = 10–80°):
| 2theta | I (rel.) |
| --- | --- |
| 19.31 | 35 |
| 25.84 | 28 |
| 27.14 | 100 |
| 29.41 | 23 |
| 32.88 | 50 |
| 37.24 | 28 |
| 39.90 | 66 |
| 50.51 | 19 |
| 54.24 | 17 |
| 61.69 | 20 |

***

For La6Ho12Al, the PBE geometry in Alexandria gives the calculated powder X-ray diffraction pattern in this record (Cu Kα).

Structural model:
```
La6Ho12Al
1.0
5.988 3.457 4.941
-5.988 3.457 4.941
0.000 -6.914 4.941
La Ho Al
6 12 1
Direct
0.201 0.763 0.591
0.237 0.409 0.799
0.409 0.799 0.237
0.591 0.201 0.763
0.763 0.591 0.201
0.799 0.237 0.409
0.033 0.940 0.280
0.060 0.720 0.967
0.142 0.480 0.323
0.280 0.033 0.940
0.323 0.142 0.480
0.480 0.323 0.142
0.520 0.677 0.858
0.677 0.858 0.520
0.720 0.967 0.060
0.858 0.520 0.677
0.940 0.280 0.033
0.967 0.060 0.720
0.500 0.500 0.500
```

Main lines, by angle (2θ = 10–80°):
| 2theta | I (rel.) |
| --- | --- |
| 23.34 | 12 |
| 23.47 | 11 |
| 29.84 | 9 |
| 31.39 | 31 |
| 31.66 | 100 |
| 33.27 | 52 |
| 33.41 | 21 |
| 35.05 | 12 |
| 45.29 | 13 |
| 55.32 | 9 |

***

For LaHoAl2Si, the PBE geometry in Alexandria gives the calculated powder X-ray diffraction pattern in this record (Cu Kα).

Structural model:
```
LaHoAl2Si
1.0
4.388 0.000 0.000
0.000 4.443 0.000
0.000 0.000 12.159
La Ho Al Si
2 2 4 2
Direct
0.000 0.000 0.000
0.500 0.500 0.500
0.000 0.500 0.758
0.500 0.000 0.258
0.000 0.000 0.606
0.000 0.500 0.250
0.500 0.000 0.750
0.500 0.500 0.106
0.000 0.000 0.402
0.500 0.500 0.902
```

Main lines, by angle (2θ = 10–80°):
| 2theta | I (rel.) |
| --- | --- |
| 21.29 | 30 |
| 21.53 | 32 |
| 29.38 | 21 |
| 29.84 | 26 |
| 30.01 | 18 |
| 32.23 | 100 |
| 40.61 | 17 |
| 41.14 | 16 |
| 51.34 | 17 |
| 53.94 | 16 |

***

For LaYHoAl, the PBE geometry in Alexandria gives the calculated powder X-ray diffraction pattern in this record (Cu Kα).

Structural model:
```
LaYHoAl
1.0
3.551 0.000 0.000
0.000 3.551 0.000
0.000 0.000 9.183
La Y Ho Al
1 1 1 1
Direct
0.000 0.000 0.000
0.500 0.500 0.702
0.500 0.500 0.292
0.000 0.000 0.495
```

Main lines, by angle (2θ = 10–80°):
| 2theta | I (rel.) |
| --- | --- |
| 26.92 | 39 |
| 29.18 | 20 |
| 31.86 | 100 |
| 35.76 | 44 |
| 46.79 | 22 |
| 51.46 | 15 |
| 54.13 | 12 |
| 56.40 | 18 |
| 61.81 | 30 |
| 79.84 | 13 |

***

For LiHo3Al8, the PBE geometry in Alexandria gives the calculated powder X-ray diffraction pattern in this record (Cu Kα).

Structural model:
```
LiHo3Al8
1.0
2.753 1.590 9.003
-2.753 1.590 9.003
0.000 -3.179 9.003
Li Ho Al
1 3 8
Direct
0.000 0.000 0.000
0.122 0.122 0.122
0.500 0.500 0.500
0.628 0.628 0.628
0.064 0.064 0.562
0.064 0.562 0.064
0.065 0.563 0.563
0.314 0.314 0.314
0.562 0.064 0.064
0.563 0.065 0.563
0.563 0.563 0.065
0.813 0.813 0.813
```

Main lines, by angle (2θ = 10–80°):
| 2theta | I (rel.) |
| --- | --- |
| 18.90 | 16 |
| 19.74 | 55 |
| 24.91 | 11 |
| 32.51 | 86 |
| 38.32 | 100 |
| 51.10 | 14 |
| 58.00 | 33 |
| 61.89 | 32 |
| 68.08 | 21 |
| 77.49 | 14 |